No. 1
Structure and computed PXRD pattern of La3NdSe4 (DFT lattice parameters and positions (PBE); λ = 1.5418 Å (Cu Kα)).

Cell and atoms:
```
data_La3NdSe4
_chemical_formula_sum 'La6 Nd2 Se8'
_space_group_name_H-M_alt 'C m m m'
_space_group_IT_number 65
_space_group_name_Hall '-C 2 2'
_cell_length_a 8.6190
_cell_length_b 12.1504
_cell_length_c 4.2736
_cell_angle_alpha 90.00
_cell_angle_beta 90.00
_cell_angle_gamma 90.00
loop_
_atom_site_label
_atom_site_type_symbol
_atom_site_fract_x
_atom_site_fract_y
_atom_site_fract_z
La1 La 0.0000 0.0000 0.0000
La2 La 0.2500 0.2500 0.5000
Nd1 Nd 0.0000 0.5000 0.0000
Se1 Se 0.0000 0.2517 0.0000
Se2 Se 0.2467 0.5000 0.5000
```

Top 12 peaks for 10° ≤ 2θ ≤ 90°, most intense first:
hkl 2 0 1, 29.4 deg, I = 100; hkl 2 4 1, 42.1 deg, I = 50; hkl 4 4 2, 69.2 deg, I = 23; hkl 4 4 0, 52.0 deg, I = 13; hkl 0 4 2, 52.3 deg, I = 13; hkl 6 4 1, 76.7 deg, I = 13; hkl 4 0 0, 41.9 deg, I = 13; hkl 4 0 2, 61.1 deg, I = 12; hkl 0 0 2, 42.3 deg, I = 12; hkl 2 4 3, 77.2 deg, I = 8; hkl 2 2 0, 25.3 deg, I = 7; hkl 0 2 1, 25.5 deg, I = 7

No. 2
Structure and computed PXRD pattern of Ti2H3 (DFT lattice parameters and positions (PBE); λ = 1.5418 Å (Cu Kα)).

Cell and atoms:
```
data_Ti2H3
_chemical_formula_sum 'Ti2 H3'
_space_group_name_H-M_alt 'P -4 m 2'
_space_group_IT_number 115
_cell_length_a 3.0672
_cell_length_b 3.0672
_cell_length_c 4.3988
_cell_angle_alpha 90.00
_cell_angle_beta 90.00
_cell_angle_gamma 90.00
loop_
_space_group_symop_operation_xyz
'x,y,z'
'y,-x,-z'
'-x,-y,z'
'-y,x,-z'
'-x,y,z'
'-y,-x,-z'
'x,-y,z'
'y,x,-z'
loop_
_atom_site_label
_atom_site_type_symbol
_atom_site_fract_x
_atom_site_fract_y
_atom_site_fract_z
Ti1 Ti 0.0000 0.5000 0.2410
H1 H 0.0000 0.0000 0.5000
H2 H 0.5000 0.5000 0.0000
H3 H 0.5000 0.5000 0.5000
```

Top 9 peaks for 10° ≤ 2θ ≤ 90°, most intense first:
hkl 1 0 1, 35.7 deg, I = 100; hkl 1 1 0, 41.6 deg, I = 29; hkl 2 1 1, 72.1 deg, I = 21; hkl 1 1 2, 59.9 deg, I = 20; hkl 0 0 2, 41.0 deg, I = 15; hkl 1 0 3, 71.3 deg, I = 11; hkl 2 0 0, 60.4 deg, I = 10; hkl 2 0 2, 75.6 deg, I = 9; hkl 0 0 4, 89.0 deg, I = 1